Record 1
Structure and calculated X-ray diffraction stick pattern of Li11Ni2O8 (a structure optimized by DFT (PBE+U); Cu Ka).
No peak broadening, texture or thermal motion is included.

Structural model:
```
42
Lattice="4.577 -4.696 0.000 4.577 4.696 0.000 -0.005 0.000 9.371" Properties=species:S:1:pos:R:3 pbc="T T T"
Li 0.000 0.000 0.000
Li 4.554 4.270 6.886
Li 4.596 4.270 2.485
Li 2.567 2.157 2.335
Li 2.582 2.178 7.034
Li 2.075 -0.227 4.400
Li 2.279 -0.164 2.084
Li 2.288 -0.196 6.737
Li 2.483 -0.173 9.136
Li 6.567 2.178 2.337
Li 6.583 2.157 7.036
Li 4.562 0.055 2.164
Li 4.587 0.055 7.208
Li 4.575 -0.441 4.686
Li 2.629 -2.503 9.335
Li 2.710 -2.573 4.697
Li 6.666 -0.173 0.236
Li 6.870 -0.164 7.288
Li 6.861 -0.196 2.634
Li 7.074 -0.227 4.971
Li 6.439 -2.573 4.674
Li 6.520 -2.503 0.036
Ni 4.575 2.187 4.686
Ni 4.577 2.113 0.000
Ni 4.572 -2.531 2.326
Ni 4.577 -2.531 7.045
O 3.348 3.387 8.398
O 3.380 3.243 3.698
O 1.215 0.959 3.234
O 1.230 0.919 7.979
O 3.310 1.040 1.009
O 3.424 0.985 5.663
O 5.801 3.387 0.973
O 5.770 3.243 5.673
O 3.334 -1.322 7.890
O 3.360 -1.292 3.323
O 5.725 0.985 3.708
O 5.839 1.040 8.363
O 7.935 0.959 6.137
O 7.919 0.919 1.393
O 5.789 -1.292 6.049
O 5.815 -1.322 1.481
```

Principal peaks in the range 2θ from 5° to 70°, sorted by position:
| two_theta | intensity |
| --- | --- |
| 18.9 | 25.9 |
| 23.3 | 100.0 |
| 27.2 | 23.2 |
| 33.4 | 31.8 |
| 35.9 | 20.6 |
| 36.4 | 21.8 |
| 45.8 | 22.7 |
| 56.1 | 30.5 |

Record 2
Structure and calculated X-ray diffraction stick pattern of LiNi9O13 (a structure optimized by DFT (PBE+U); Cu Ka).
No peak broadening, texture or thermal motion is included.

Structural model:
```
23
Lattice="3.002 0.000 0.000 0.485 5.213 0.000 0.355 1.477 14.360" Properties=species:S:1:pos:R:3 pbc="T T T"
Li 0.000 0.000 0.000
Ni 0.635 3.266 12.030
Ni 0.710 2.368 9.092
Ni 1.684 4.912 7.870
Ni 1.473 0.868 2.472
Ni 2.168 4.156 14.358
Ni 2.502 6.001 11.876
Ni 2.130 2.110 6.540
Ni 3.270 4.579 5.274
Ni 3.344 3.602 2.339
O 0.258 1.966 1.292
O 0.723 4.922 13.091
O 0.545 3.406 7.205
O 0.577 1.698 10.938
O 1.710 5.678 6.024
O 1.803 3.201 4.820
O 1.904 4.375 1.214
O 1.800 2.757 3.459
O 2.135 4.141 10.923
O 2.136 3.752 9.547
O 2.131 2.481 13.137
O 2.349 1.193 8.321
O 3.402 5.173 3.395
```

Principal peaks in the range 2θ from 5° to 70°, sorted by position:
| two_theta | intensity |
| --- | --- |
| 18.5 | 77.2 |
| 18.8 | 52.4 |
| 34.2 | 43.0 |
| 35.8 | 56.0 |
| 36.3 | 84.7 |
| 40.2 | 67.8 |
| 40.8 | 58.5 |
| 43.3 | 100.0 |

Record 3
Structure and calculated X-ray diffraction stick pattern of Li3Ni4O8 (a structure optimized by DFT (PBE+U); Cu Ka).
No peak broadening, texture or thermal motion is included.

Structural model:
```
15
Lattice="5.583 0.000 0.000 -0.145 5.672 0.000 -2.711 -2.775 4.200" Properties=species:S:1:pos:R:3 pbc="T T T"
Li 0.000 0.000 0.000
Li -1.356 -1.387 2.100
Li 2.719 2.836 0.000
Ni -0.072 2.836 0.000
Ni -1.428 1.449 2.100
Ni 2.792 0.000 0.000
Ni 1.364 1.449 2.100
O -1.475 1.412 3.964
O -0.049 0.186 2.103
O -0.046 2.706 2.132
O 1.308 1.480 0.201
O 1.420 1.417 3.999
O 2.774 0.191 2.068
O 2.776 2.712 2.097
O 4.202 1.485 0.236
```

Principal peaks in the range 2θ from 5° to 70°, sorted by position:
| two_theta | intensity |
| --- | --- |
| 18.7 | 100.0 |
| 19.0 | 87.2 |
| 22.1 | 37.9 |
| 22.6 | 42.3 |
| 38.7 | 29.4 |
| 43.1 | 71.4 |
| 45.0 | 64.1 |
| 46.2 | 59.6 |

Record 4
Structure and calculated X-ray diffraction stick pattern of LiNiO2 (a structure optimized by DFT (PBE+U); Cu Ka).
No peak broadening, texture or thermal motion is included.

Structural model:
```
4
Lattice="2.941 0.000 0.000 -1.470 2.547 0.000 0.000 0.000 5.002" Properties=species:S:1:pos:R:3 pbc="T T T"
Li 0.000 0.000 0.000
Ni 0.000 1.698 2.834
O 0.000 0.000 1.903
O 1.470 0.849 3.936
```

Principal peaks in the range 2θ from 5° to 70°, sorted by position:
| two_theta | intensity |
| --- | --- |
| 17.7 | 100.0 |
| 35.2 | 22.5 |
| 35.9 | 6.1 |
| 39.7 | 68.3 |
| 51.2 | 41.4 |
| 63.2 | 16.4 |
| 66.2 | 13.6 |
| 67.1 | 17.3 |

Record 5
Structure and calculated X-ray diffraction stick pattern of Li2NiP2O7 (a structure optimized by DFT (PBE+U); Cu Ka).
No peak broadening, texture or thermal motion is included.

Structural model:
```
48
Lattice="3.942 -6.451 0.000 3.942 6.451 0.000 -0.460 0.000 10.950" Properties=species:S:1:pos:R:3 pbc="T T T"
Li 3.657 3.717 5.456
Li 3.597 3.784 8.212
Li 3.827 3.668 2.737
Li 3.996 3.717 0.019
Li 3.427 -3.717 10.931
Li 3.597 -3.668 8.212
Li 3.827 -3.784 2.737
Li 3.766 -3.717 5.494
Ni 1.267 0.007 6.711
Ni 1.497 -0.007 1.236
Ni 5.926 0.007 9.714
Ni 6.156 -0.007 4.239
P 1.931 1.468 9.483
P 2.265 1.367 4.026
P 2.161 -1.468 4.008
P 2.035 -1.367 9.501
P 5.388 1.367 1.449
P 5.262 1.468 6.942
P 5.158 -1.367 6.924
P 5.492 -1.468 1.467
O 0.934 1.374 10.672
O 1.163 1.437 8.141
O 1.311 1.405 5.251
O 1.442 1.362 2.717
O 2.910 2.602 9.566
O 3.337 2.418 4.091
O 1.165 -1.374 5.197
O 1.393 -1.437 2.666
O 1.081 -1.405 10.726
O 1.212 -1.362 8.192
O 4.317 2.418 1.384
O 4.283 2.602 6.859
O 2.811 0.079 9.555
O 3.041 -0.079 4.080
O 4.382 0.079 6.870
O 4.612 -0.079 1.395
O 3.140 -2.602 4.091
O 3.107 -2.418 9.566
O 6.211 1.362 2.758
O 6.342 1.405 0.224
O 6.030 1.437 8.284
O 6.259 1.374 5.753
O 4.087 -2.418 6.859
O 4.513 -2.602 1.384
O 5.981 -1.362 8.233
O 6.112 -1.405 5.699
O 6.261 -1.437 2.809
O 6.489 -1.374 0.278
```

Principal peaks in the range 2θ from 5° to 70°, sorted by position:
| two_theta | intensity |
| --- | --- |
| 13.7 | 97.2 |
| 22.6 | 72.2 |
| 26.5 | 62.4 |
| 27.3 | 46.5 |
| 28.5 | 100.0 |
| 29.0 | 52.0 |
| 34.9 | 23.2 |
| 40.1 | 30.2 |

Record 6
Structure and calculated X-ray diffraction stick pattern of LiNiPO4 (a structure optimized by DFT (PBE+U); Cu Ka).
No peak broadening, texture or thermal motion is included.

Structural model:
```
14
Lattice="4.888 -2.381 0.000 4.888 2.381 0.000 -1.420 0.000 6.346" Properties=species:S:1:pos:R:3 pbc="T T T"
Li 0.000 0.000 0.000
Li 4.178 -2.323 3.173
Ni 3.165 0.295 1.850
Ni 5.191 0.295 4.496
P 2.028 0.174 4.923
P 6.327 0.174 1.424
O 0.629 0.639 4.379
O 2.202 0.781 6.314
O 3.177 0.693 3.958
O 5.179 0.693 2.388
O 6.153 0.781 0.032
O 2.150 -1.369 4.915
O 7.727 0.639 1.967
O 6.205 -1.369 1.431
```

Principal peaks in the range 2θ from 5° to 70°, sorted by position:
| two_theta | intensity |
| --- | --- |
| 18.6 | 18.6 |
| 20.8 | 100.0 |
| 28.1 | 52.8 |
| 30.2 | 36.1 |
| 33.9 | 42.5 |
| 36.9 | 20.9 |
| 37.8 | 72.9 |
| 47.8 | 16.2 |

Record 7
Structure and calculated X-ray diffraction stick pattern of Li2NiP2O7 (a structure optimized by DFT (PBE+U); Cu Ka).
No peak broadening, texture or thermal motion is included.

Structural model:
```
24
Lattice="6.704 0.000 0.000 0.013 7.030 0.000 3.333 3.499 6.513" Properties=species:S:1:pos:R:3 pbc="T T T"
Li 1.672 1.759 0.260
Li 1.687 5.274 0.264
Li 8.362 5.256 6.249
Li 8.377 8.771 6.252
Ni 1.666 1.750 3.256
Ni 1.673 5.265 3.256
P 3.805 3.498 4.693
P 3.807 3.510 1.827
P 6.242 7.019 4.686
P 6.244 7.031 1.819
O 2.920 4.773 4.717
O 2.935 9.253 4.704
O 4.851 3.494 5.783
O 2.907 2.247 1.810
O 2.928 4.789 1.813
O 5.202 7.023 5.779
O 4.581 3.504 3.260
O 5.468 7.025 3.253
O 4.848 3.506 0.733
O 7.122 5.741 4.699
O 7.142 8.283 4.703
O 5.199 7.035 0.730
O 7.114 1.276 1.809
O 7.129 5.757 1.796
```

Principal peaks in the range 2θ from 5° to 70°, sorted by position:
| two_theta | intensity |
| --- | --- |
| 13.6 | 45.7 |
| 14.9 | 21.9 |
| 18.3 | 100.0 |
| 24.4 | 26.8 |
| 29.5 | 96.4 |
| 38.5 | 20.1 |
| 38.6 | 20.4 |
| 60.7 | 12.1 |